Simulated powder X-ray diffraction pattern of Dy4Th3 for Cu Kα X-rays, from a DFT-relaxed cell (GGA-PBE, Alexandria).
Lines closer than 0.1° are merged.

Peak list (12 most intense, 15 to 90 degrees two-theta, sorted by position)
(3 1 -1), 30.7 deg, rel. 100.0
(1 1 2), 30.8 deg, rel. 98.4
(4 0 1), 35.6 deg, rel. 35.2
(0 2 0), 35.6 deg, rel. 33.7
(2 0 -3), 35.7 deg, rel. 33.2
(6 0 -2), 51.1 deg, rel. 12.3
(4 2 1), 51.2 deg, rel. 24.3
(2 2 -3), 51.4 deg, rel. 24.0
(7 1 0), 60.8 deg, rel. 14.7
(3 3 -1), 61.0 deg, rel. 57.7
(1 1 -5), 61.3 deg, rel. 14.0
(6 2 -2), 63.9 deg, rel. 13.0

Cell and atoms:
```
data_Dy4Th3
_cell_length_a 11.3122
_cell_length_b 5.0398
_cell_length_c 7.9298
_cell_angle_alpha 90.00
_cell_angle_beta 98.23
_cell_angle_gamma 90.00
_space_group_name_H-M_alt 'C 1 2/m 1'
_space_group_IT_number 12
_space_group_name_Hall '-C 2y'
loop_
_atom_site_label
_atom_site_type_symbol
_atom_site_fract_x
_atom_site_fract_y
_atom_site_fract_z
Dy1 Dy 0.0727 0.0000 0.2205
Dy2 Dy 0.1439 0.5000 0.9247
Th1 Th 0.0000 0.5000 0.5000
Th2 Th 0.2132 0.0000 0.6378
```